# BaFe2C2O7
Theoretical powder diffraction line list, Cu Ka. Input: the PBE+U geometry in Alexandria.
Lines closer than 0.1° are merged.

Top 10 peaks for 10° ≤ 2θ ≤ 80°, sorted by position:
Position (°2θ)	d (Å)	I_rel
20.8	4.273	88
23.7	3.758	76
25.6	3.475	39
30.3	2.950	100
34.5	2.597	60
40.6	2.219	36
46.0	1.974	39
51.0	1.792	19
54.4	1.687	24
59.3	1.559	20

Atomic structure:
abc: 9.5980 9.5980 9.5980
angles: 31.40 31.40 31.40
Element x y z (fractional)
1 Ba 0.0000 0.0000 0.0000
2 Fe 0.4336 0.4336 0.4336
3 Fe 0.5664 0.5664 0.5664
4 C 0.2720 0.2720 0.2720
5 C 0.7280 0.7280 0.7280
6 O 0.0012 0.5120 0.6667
7 O 0.3333 0.4880 0.9988
8 O 0.4880 0.9988 0.3333
9 O 0.5000 0.5000 0.5000
10 O 0.5120 0.6667 0.0012
11 O 0.6667 0.0012 0.5120
12 O 0.9988 0.3333 0.4880